This entry pairs a crystal structure of Y3Co2Si3 with its calculated XRD peak list. Radiation: Cu Ka. Structure: a structure optimized by DFT (PBE).
Peak positions follow from Bragg's law for the DFT cell and can differ from measured ones.

Cell and atoms:
```
Y3Co2Si3
1.0
2.059 -5.265 0.000
2.059 5.265 0.000
0.000 0.000 13.693
Y Co Si
6 4 6
Direct
0.080 0.920 0.613
0.080 0.920 0.887
0.362 0.638 0.750
0.638 0.362 0.250
0.920 0.080 0.113
0.920 0.080 0.387
0.214 0.786 0.081
0.214 0.786 0.419
0.786 0.214 0.581
0.786 0.214 0.919
0.330 0.670 0.250
0.380 0.620 0.539
0.380 0.620 0.961
0.620 0.380 0.039
0.620 0.380 0.461
0.670 0.330 0.750
```

Peak list (6 most intense, 2θ from 10° to 80°, in order of rising 2θ)
d [Å]  I_rel
2.622  80
2.554  100
2.306  60
2.281  55
2.059  45
1.529  29



This entry pairs a crystal structure of Li2Ti7Nb6O30 with its calculated XRD peak list. Radiation: Cu Ka. Structure: a structure optimized by DFT (PBE).
Peak positions follow from Bragg's law for the DFT cell and can differ from measured ones.

Cell and atoms:
```
Li2Ti7Nb6O30
1.0
5.204 0.000 0.000
-2.602 4.507 0.000
0.000 0.000 24.021
Li Ti Nb O
2 7 6 30
Direct
0.000 0.000 0.000
0.000 0.000 0.267
0.000 0.000 0.107
0.000 0.000 0.511
0.000 0.000 0.771
0.667 0.333 0.078
0.667 0.333 0.489
0.667 0.333 0.677
0.667 0.333 0.798
0.000 0.000 0.390
0.000 0.000 0.892
0.333 0.667 0.298
0.333 0.667 0.596
0.333 0.667 0.990
0.667 0.333 0.205
0.000 0.327 0.045
0.000 0.663 0.539
0.003 0.366 0.243
0.055 0.729 0.340
0.071 0.742 0.946
0.258 0.329 0.946
0.271 0.326 0.340
0.317 0.061 0.838
0.321 0.079 0.447
0.327 0.000 0.045
0.337 0.337 0.539
0.354 0.265 0.139
0.357 0.272 0.740
0.363 0.997 0.243
0.390 0.001 0.638
0.611 0.610 0.638
0.634 0.637 0.243
0.663 0.000 0.539
0.671 0.929 0.946
0.673 0.673 0.045
0.674 0.945 0.340
0.728 0.085 0.740
0.735 0.089 0.139
0.744 0.683 0.838
0.758 0.679 0.447
0.911 0.646 0.139
0.915 0.643 0.740
0.921 0.242 0.447
0.939 0.256 0.838
0.999 0.389 0.638
```

Peak list (6 most intense, 2θ from 10° to 80°, in order of rising 2θ)
d [Å]  I_rel
4.220  57
3.927  100
3.605  31
2.730  28
2.602  46
1.765  50



This entry pairs a crystal structure of K2MgAs2 with its calculated XRD peak list. Radiation: Cu Ka. Structure: a structure optimized by DFT (PBE).
Peak positions follow from Bragg's law for the DFT cell and can differ from measured ones.

Cell and atoms:
```
K2MgAs2
1.0
3.533 0.000 0.000
0.000 3.533 0.000
0.000 0.000 15.468
K Mg As
2 1 2
Direct
0.000 0.000 0.143
0.000 0.000 0.857
0.000 0.000 0.500
0.000 0.000 0.339
0.000 0.000 0.661
```

Peak list (6 most intense, 2θ from 10° to 80°, in order of rising 2θ)
d [Å]  I_rel
3.867  19
3.533  100
2.608  26
2.498  38
2.082  33
1.794  20



This entry pairs a crystal structure of CuH2C2O4 with its calculated XRD peak list. Radiation: Cu Ka. Structure: a structure optimized by DFT (PBE).
Peak positions follow from Bragg's law for the DFT cell and can differ from measured ones.

Cell and atoms:
```
CuH2C2O4
1.0
6.327 0.000 0.000
0.000 7.982 0.000
-1.583 0.000 7.943
Cu H C O
2 4 4 8
Direct
0.000 0.000 0.000
0.000 0.500 0.500
0.078 0.188 0.700
0.078 0.312 0.200
0.922 0.688 0.800
0.922 0.812 0.300
0.026 0.732 0.238
0.026 0.768 0.738
0.974 0.232 0.262
0.974 0.268 0.762
0.080 0.587 0.296
0.080 0.913 0.796
0.089 0.713 0.608
0.089 0.787 0.108
0.911 0.213 0.892
0.911 0.287 0.392
0.920 0.087 0.204
0.920 0.413 0.704
```

Peak list (6 most intense, 2θ from 10° to 80°, in order of rising 2θ)
d [Å]  I_rel
6.205  100
5.631  42
4.491  17
3.909  23
3.102  11
2.571  8